[1]
Theoretical powder diffraction line list
Compound: La2Nd3Er7
Radiation: Cu Kα X-rays
Structure: a cell relaxed with PBE

Top 8 peaks for 2θ = 10–90°, low angle first:
29.9°, d 2.990, rel. 42
30.9°, d 2.893, rel. 24
31.2°, d 2.870, rel. 58
31.4°, d 2.845, rel. 100
33.5°, d 2.675, rel. 35
34.0°, d 2.634, rel. 23
44.5°, d 2.037, rel. 18
55.6°, d 1.652, rel. 20

Structural model:
Cell: 19.477 19.477 3.619 Å, 90.00 90.00 163.05°
Fractional coordinates of all 12 atoms:
La 0.146 0.854 0.000
La 0.854 0.146 0.000
Nd 0.313 0.687 0.500
Nd 0.500 0.500 0.500
Nd 0.687 0.313 0.500
Er 0.000 0.000 0.000
Er 0.070 0.930 0.500
Er 0.230 0.770 0.000
Er 0.412 0.588 0.000
Er 0.588 0.412 0.000
Er 0.770 0.230 0.000
Er 0.930 0.070 0.500

***

[2]
Theoretical powder diffraction line list
Compound: Hf15Mo11Se2
Radiation: Cu Kα X-rays
Structure: a cell relaxed with PBE

Top 8 peaks for 2θ = 10–90°, low angle first:
31.7°, d 2.820, rel. 48
33.5°, d 2.673, rel. 23
37.6°, d 2.391, rel. 50
38.2°, d 2.358, rel. 100
39.7°, d 2.272, rel. 41
41.9°, d 2.156, rel. 22
66.1°, d 1.414, rel. 25
66.3°, d 1.411, rel. 24

Structural model:
Cell: 8.623 8.623 8.586 Å, 90.00 90.00 120.00°
Fractional coordinates of all 28 atoms:
Hf 0.056 0.528 0.196
Hf 0.056 0.528 0.804
Hf 0.209 0.417 0.500
Hf 0.209 0.791 0.500
Hf 0.267 0.133 0.286
Hf 0.267 0.133 0.714
Hf 0.472 0.528 0.196
Hf 0.472 0.528 0.804
Hf 0.472 0.944 0.196
Hf 0.472 0.944 0.804
Hf 0.583 0.791 0.500
Hf 0.867 0.133 0.286
Hf 0.867 0.133 0.714
Hf 0.867 0.733 0.286
Hf 0.867 0.733 0.714
Mo 0.102 0.204 0.000
Mo 0.102 0.898 0.000
Mo 0.446 0.223 0.000
Mo 0.556 0.112 0.500
Mo 0.556 0.444 0.500
Mo 0.667 0.333 0.248
Mo 0.667 0.333 0.752
Mo 0.777 0.223 0.000
Mo 0.777 0.554 0.000
Mo 0.796 0.898 0.000
Mo 0.888 0.444 0.500
Se 0.000 0.000 0.500
Se 0.333 0.667 0.000

***

[3]
Theoretical powder diffraction line list
Compound: Pm6Tl2Os
Radiation: Cu Kα X-rays
Structure: a cell relaxed with PBE

Top 8 peaks for 2θ = 10–90°, low angle first:
30.1°, d 2.964, rel. 57
30.3°, d 2.950, rel. 89
31.2°, d 2.869, rel. 33
32.4°, d 2.761, rel. 100
32.6°, d 2.746, rel. 44
35.2°, d 2.553, rel. 67
38.7°, d 2.328, rel. 39
45.5°, d 1.992, rel. 38

Structural model:
Cell: 3.984 8.782 8.782 Å, 119.30 90.00 90.00°
Fractional coordinates of all 9 atoms:
Pm 0.000 0.000 0.000
Pm 0.000 0.514 0.746
Pm 0.000 0.746 0.514
Pm 0.500 0.139 0.750
Pm 0.500 0.356 0.356
Pm 0.500 0.750 0.139
Tl 0.000 0.081 0.419
Tl 0.000 0.419 0.081
Os 0.500 0.768 0.768